Calculated powder diffraction line list of Nb3WSe8 for Cu Kα (λ = 1.5418 Å), from a crystal structure in the Materials Project, relaxed with GGA-PBE.
Lines closer than 0.1° are merged.

```
data_Nb3WSe8
_cell_length_a 13.455
_cell_length_b 3.445
_cell_length_c 11.961
_cell_angle_alpha 90.00
_cell_angle_beta 98.56
_cell_angle_gamma 90.00
_symmetry_space_group_name_H-M 'C 1 m 1'
_symmetry_Int_Tables_number 8
loop_
_symmetry_equiv_pos_as_xyz
'x,y,z'
'x,-y,z'
'x+1/2,y+1/2,z'
'x+1/2,-y+1/2,z'
loop_
_atom_site_label
_atom_site_fract_x
_atom_site_fract_y
_atom_site_fract_z
Nb1 0.000 0.000 0.000
Nb2 0.000 0.000 0.495
Nb3 0.000 0.500 0.746
W1 0.000 0.500 0.246
Se1 0.125 0.000 0.348
Se2 0.127 0.500 0.104
Se3 0.128 0.000 0.852
Se4 0.128 0.500 0.601
Se5 0.373 0.000 0.558
Se6 0.373 0.500 0.809
Se7 0.374 0.000 0.062
Se8 0.375 0.500 0.306
```

Top 10 peaks for 10 to 80 degrees two-theta, in order of rising 2θ:
Position (°2θ), Rel. int.
13.3, 100
30.3, 54
31.3, 32
35.0, 67
37.6, 90
43.9, 55
47.5, 25
53.1, 33
53.2, 17
55.2, 15



Calculated powder diffraction line list of ZnPdF6 for Cu Kα (λ = 1.5418 Å), from a crystal structure in the Materials Project, relaxed with GGA-PBE.
Lines closer than 0.1° are merged.

```
data_ZnPdF6
_cell_length_a 5.1107
_cell_length_b 5.1107
_cell_length_c 13.8270
_cell_angle_alpha 90.00
_cell_angle_beta 90.00
_cell_angle_gamma 120.00
_symmetry_space_group_name_H-M 'R -3'
_symmetry_Int_Tables_number 148
_symmetry_space_group_name_Hall '-R 3'
loop_
_atom_site_label
_atom_site_fract_x
_atom_site_fract_y
_atom_site_fract_z
Zn1 0.0000 0.0000 0.0000
Pd1 0.0000 0.0000 0.5000
F1 0.0103 0.3659 0.2487
```

Top 10 peaks for 10 to 80 degrees two-theta, in order of rising 2θ:
Position (°2θ), Rel. int.
23.9, 100
32.9, 34
35.1, 15
40.4, 14
42.9, 14
48.9, 16
53.5, 31
56.6, 15
61.6, 12
63.0, 13



Calculated powder diffraction line list of Zr5CuSn3 for Cu Kα (λ = 1.5418 Å), from a crystal structure in the Materials Project, relaxed with GGA-PBE.
Lines closer than 0.1° are merged.

```
data_Zr5CuSn3
_cell_length_a 8.6788
_cell_length_b 8.6788
_cell_length_c 5.8766
_cell_angle_alpha 90.00
_cell_angle_beta 90.00
_cell_angle_gamma 120.00
_symmetry_space_group_name_H-M 'P 63/m c m'
_symmetry_Int_Tables_number 193
_symmetry_space_group_name_Hall '-P 6c 2'
loop_
_atom_site_label
_atom_site_fract_x
_atom_site_fract_y
_atom_site_fract_z
Zr1 0.0000 0.2658 0.2500
Zr2 0.3333 0.6667 0.0000
Cu1 0.0000 0.0000 0.0000
Sn1 0.0000 0.3842 0.7500
```

Top 10 peaks for 10 to 80 degrees two-theta, in order of rising 2θ:
Position (°2θ), Rel. int.
30.4, 15
35.1, 74
35.8, 85
36.9, 100
46.2, 22
52.4, 25
57.1, 18
65.1, 14
67.9, 14
74.9, 19



Calculated powder diffraction line list of MgTi2 for Cu Kα (λ = 1.5418 Å), from a crystal structure in the Materials Project, relaxed with GGA-PBE.
Lines closer than 0.1° are merged.

```
data_MgTi2
_cell_length_a 2.951
_cell_length_b 15.920
_cell_length_c 4.800
_cell_angle_alpha 90.00
_cell_angle_beta 90.00
_cell_angle_gamma 90.00
_symmetry_space_group_name_H-M 'C m c m'
_symmetry_Int_Tables_number 63
_symmetry_space_group_name_Hall '-C 2c 2'
loop_
_atom_site_label
_atom_site_fract_x
_atom_site_fract_y
_atom_site_fract_z
Mg1 0.000 0.218 0.250
Ti1 0.000 0.100 0.750
Ti2 0.000 0.450 0.750
```

Top 10 peaks for 10 to 80 degrees two-theta, in order of rising 2θ:
Position (°2θ), Rel. int.
11.1, 52
33.8, 14
34.8, 22
37.5, 39
38.8, 46
39.7, 100
52.1, 13
61.1, 13
69.1, 17
73.9, 14



Calculated powder diffraction line list of Er6Ni20P13 for Cu Kα (λ = 1.5418 Å), from a crystal structure in the Materials Project, relaxed with GGA-PBE.
Lines closer than 0.1° are merged.

```
data_Er6Ni20P13
_cell_length_a 12.6367
_cell_length_b 12.6367
_cell_length_c 3.7287
_cell_angle_alpha 90.00
_cell_angle_beta 90.00
_cell_angle_gamma 120.00
_symmetry_space_group_name_H-M 'P -6'
_symmetry_Int_Tables_number 174
loop_
_symmetry_equiv_pos_as_xyz
'x,y,z'
'-x+y,-x,-z'
'-y,x-y,z'
'x,y,-z'
'-x+y,-x,z'
'-y,x-y,-z'
loop_
_atom_site_label
_atom_site_fract_x
_atom_site_fract_y
_atom_site_fract_z
Er1 0.0514 0.1957 0.0000
Er2 0.5240 0.3858 0.5000
Ni1 0.0000 0.0000 0.5000
Ni2 0.0136 0.4170 0.0000
Ni3 0.0901 0.7445 0.5000
Ni4 0.1373 0.5740 0.5000
Ni5 0.2514 0.5076 0.0000
Ni6 0.3133 0.2329 0.0000
Ni7 0.3535 0.1049 0.5000
Ni8 0.6667 0.3333 0.0000
P1 0.0512 0.6162 0.0000
P2 0.0990 0.3825 0.5000
P3 0.1948 0.1431 0.5000
P4 0.3333 0.6667 0.5000
P5 0.4714 0.1924 0.0000
```

Top 10 peaks for 10 to 80 degrees two-theta, in order of rising 2θ:
Position (°2θ), Rel. int.
25.2, 10
29.4, 12
37.3, 19
37.7, 11
38.2, 100
43.8, 10
48.9, 20
52.2, 21
58.2, 11
74.3, 14



Calculated powder diffraction line list of BaEuTiBiO6 for Cu Kα (λ = 1.5418 Å), from a crystal structure in the Materials Project, relaxed with GGA-PBE.
Lines closer than 0.1° are merged.

```
data_BaEuTiBiO6
_cell_length_a 8.411
_cell_length_b 8.411
_cell_length_c 8.411
_cell_angle_alpha 90.00
_cell_angle_beta 90.00
_cell_angle_gamma 90.00
_symmetry_space_group_name_H-M 'F -4 3 m'
_symmetry_Int_Tables_number 216
_symmetry_space_group_name_Hall 'F -4 2 3'
loop_
_atom_site_label
_atom_site_fract_x
_atom_site_fract_y
_atom_site_fract_z
Ba1 0.000 0.000 0.000
Eu1 0.000 0.000 0.500
Ti1 0.250 0.250 0.250
Bi1 0.250 0.250 0.750
O1 0.015 0.250 0.250
```

Top 10 peaks for 10 to 80 degrees two-theta, in order of rising 2θ:
Position (°2θ), Rel. int.
18.3, 18
30.1, 100
35.4, 14
43.0, 29
47.1, 7
53.4, 41
56.9, 5
62.5, 18
70.9, 18
78.8, 6



Calculated powder diffraction line list of TaBr5 for Cu Kα (λ = 1.5418 Å), from a crystal structure in the Materials Project, relaxed with GGA-PBE.
Lines closer than 0.1° are merged.

```
data_TaBr5
_cell_length_a 14.077
_cell_length_b 19.582
_cell_length_c 6.720
_cell_angle_alpha 90.00
_cell_angle_beta 90.00
_cell_angle_gamma 90.00
_symmetry_space_group_name_H-M 'P n m a'
_symmetry_Int_Tables_number 62
loop_
_symmetry_equiv_pos_as_xyz
'x,y,z'
'-x,-y,-z'
'-x+1/2,-y,z+1/2'
'x+1/2,y,-z+1/2'
'x+1/2,-y+1/2,-z+1/2'
'-x+1/2,y+1/2,z+1/2'
'-x,y+1/2,-z'
'x,-y+1/2,z'
loop_
_atom_site_label
_atom_site_fract_x
_atom_site_fract_y
_atom_site_fract_z
Ta1 0.125 0.142 0.007
Br1 0.018 0.652 0.208
Br2 0.047 0.065 0.239
Br3 0.053 0.250 0.216
Br4 0.196 0.250 0.798
Br5 0.204 0.064 0.777
Br6 0.231 0.653 0.722
```

Top 10 peaks for 10 to 80 degrees two-theta, in order of rising 2θ:
Position (°2θ), Rel. int.
13.4, 100
14.6, 61
15.3, 64
18.1, 30
28.6, 40
29.3, 97
37.0, 36
37.5, 47
41.5, 20
45.0, 34



Calculated powder diffraction line list of RbH4CN3 for Cu Kα (λ = 1.5418 Å), from a crystal structure in the Materials Project, relaxed with GGA-PBE.
Lines closer than 0.1° are merged.

```
data_RbH4CN3
_cell_length_a 7.055
_cell_length_b 7.162
_cell_length_c 7.595
_cell_angle_alpha 90.00
_cell_angle_beta 90.00
_cell_angle_gamma 90.00
_symmetry_space_group_name_H-M 'P n m a'
_symmetry_Int_Tables_number 62
loop_
_symmetry_equiv_pos_as_xyz
'x,y,z'
'-x,-y,-z'
'-x+1/2,-y,z+1/2'
'x+1/2,y,-z+1/2'
'x+1/2,-y+1/2,-z+1/2'
'-x+1/2,y+1/2,z+1/2'
'-x,y+1/2,-z'
'x,-y+1/2,z'
loop_
_atom_site_label
_atom_site_fract_x
_atom_site_fract_y
_atom_site_fract_z
Rb1 0.027 0.250 0.077
H1 0.047 0.628 0.555
H2 0.204 0.598 0.281
C1 0.143 0.250 0.625
N1 0.019 0.250 0.484
N2 0.198 0.080 0.683
```

Top 10 peaks for 10 to 80 degrees two-theta, in order of rising 2θ:
Position (°2θ), Rel. int.
17.2, 67
24.9, 61
25.2, 31
29.5, 100
30.4, 54
30.6, 44
34.7, 33
35.7, 55
37.7, 37
45.9, 36



Calculated powder diffraction line list of Zr5N5O2 for Cu Kα (λ = 1.5418 Å), from a crystal structure in the Materials Project, relaxed with GGA-PBE.
Lines closer than 0.1° are merged.

```
data_Zr5N5O2
_cell_length_a 10.603
_cell_length_b 3.115
_cell_length_c 9.258
_cell_angle_alpha 90.00
_cell_angle_beta 105.61
_cell_angle_gamma 90.00
_symmetry_space_group_name_H-M 'C 1 m 1'
_symmetry_Int_Tables_number 8
loop_
_symmetry_equiv_pos_as_xyz
'x,y,z'
'x,-y,z'
'x+1/2,y+1/2,z'
'x+1/2,-y+1/2,z'
loop_
_atom_site_label
_atom_site_fract_x
_atom_site_fract_y
_atom_site_fract_z
Zr1 0.000 0.000 0.000
Zr2 0.086 0.500 0.381
Zr3 0.202 0.500 0.805
Zr4 0.311 0.500 0.228
Zr5 0.405 0.000 0.617
N1 0.046 0.000 0.752
N2 0.193 0.000 0.298
N3 0.359 0.000 0.861
N4 0.435 0.000 0.158
N5 0.462 0.500 0.453
O1 0.155 0.500 0.017
O2 0.246 0.500 0.592
```

Top 10 peaks for 10 to 80 degrees two-theta, in order of rising 2θ:
Position (°2θ), Rel. int.
30.0, 100
30.5, 71
32.4, 33
33.8, 41
34.9, 19
38.6, 21
40.8, 37
42.4, 29
53.2, 20
59.3, 18



Calculated powder diffraction line list of SnH7C2SeClO3 for Cu Kα (λ = 1.5418 Å), from a crystal structure in the Materials Project, relaxed with GGA-PBE.
Lines closer than 0.1° are merged.

```
data_SnH7C2SeClO3
_cell_length_a 7.129
_cell_length_b 7.772
_cell_length_c 8.013
_cell_angle_alpha 72.20
_cell_angle_beta 86.73
_cell_angle_gamma 76.09
_symmetry_space_group_name_H-M 'P -1'
_symmetry_Int_Tables_number 2
loop_
_symmetry_equiv_pos_as_xyz
'x,y,z'
'-x,-y,-z'
loop_
_atom_site_label
_atom_site_fract_x
_atom_site_fract_y
_atom_site_fract_z
Sn1 0.220 0.077 0.332
H1 0.022 0.397 0.376
H2 0.184 0.754 0.304
H3 0.198 0.281 0.552
H4 0.273 0.403 0.339
H5 0.284 0.514 0.885
H6 0.381 0.710 0.455
H7 0.416 0.795 0.222
C1 0.172 0.321 0.411
C2 0.313 0.797 0.329
Se1 0.277 0.834 0.813
Cl1 0.175 0.233 0.006
O1 0.093 0.926 0.657
O2 0.357 0.596 0.802
O3 0.448 0.921 0.687
```

Top 10 peaks for 10 to 80 degrees two-theta, in order of rising 2θ:
Position (°2θ), Rel. int.
12.3, 100
14.2, 93
23.3, 12
24.0, 42
25.8, 64
26.5, 13
26.9, 31
31.0, 28
35.3, 13
35.7, 14